Record 1
Calculated XRD peak list
Compound: La2HoGe3Rh4
Radiation: a wavelength of 1.5418 Å
Structure: a cell relaxed with PBE
Peak positions follow from Bragg's law for the DFT cell and can differ from measured ones.

Atomic structure:
```
La2HoGe3Rh4
1.0
4.2271 0.0000 0.0000
0.0000 4.2271 0.0000
0.0000 0.0000 11.2166
La Ho Ge Rh
2 1 3 4
direct
0.0000 0.5000 0.2333
0.5000 0.0000 0.7667
0.0000 0.0000 0.5000
0.0000 0.5000 0.8801
0.5000 0.0000 0.1199
0.5000 0.5000 0.5000
0.0000 0.0000 0.0000
0.0000 0.5000 0.6571
0.5000 0.0000 0.3429
0.5000 0.5000 0.0000
```

Largest 10 diffraction maxima, by angle, 2θ = 10–90°:
two_theta, d/Å, intensity
31.9, 2.801, 42
34.0, 2.638, 100
38.5, 2.337, 10
42.8, 2.114, 50
44.3, 2.045, 19
45.8, 1.981, 21
54.4, 1.687, 22
62.1, 1.495, 16
64.5, 1.446, 14
72.7, 1.300, 21

=====

Record 2
Calculated XRD peak list
Compound: LaHoGeSe
Radiation: a wavelength of 1.5418 Å
Structure: a cell relaxed with PBE
Peak positions follow from Bragg's law for the DFT cell and can differ from measured ones.

Atomic structure:
```
LaHoGeSe
1.0
4.2520 0.0000 0.0000
-2.1260 3.6824 0.0000
0.0000 0.0000 20.8937
La Ho Ge Se
3 3 3 3
direct
0.0000 0.0000 0.0000
0.3333 0.6667 0.6667
0.6667 0.3333 0.3333
0.0000 0.0000 0.4925
0.3333 0.6667 0.1592
0.6667 0.3333 0.8258
0.0000 0.0000 0.7507
0.3333 0.6667 0.4174
0.6667 0.3333 0.0840
0.0000 0.0000 0.2407
0.3333 0.6667 0.9073
0.6667 0.3333 0.5740
```

Largest 10 diffraction maxima, by angle, 2θ = 10–90°:
two_theta, d/Å, intensity
25.6, 3.475, 19
29.7, 3.010, 100
42.5, 2.128, 74
50.3, 1.815, 7
52.6, 1.741, 6
52.7, 1.736, 20
61.6, 1.505, 12
69.8, 1.347, 16
70.0, 1.345, 17
77.8, 1.228, 19

=====

Record 3
Calculated XRD peak list
Compound: LiHo4Ge4
Radiation: a wavelength of 1.5418 Å
Structure: a cell relaxed with PBE
Peak positions follow from Bragg's law for the DFT cell and can differ from measured ones.

Atomic structure:
```
LiHo4Ge4
1.0
7.1159 0.0000 0.0000
0.0000 14.6479 0.0000
0.0000 0.0000 7.6906
Li Ho Ge
4 16 16
direct
0.1607 0.2500 0.0255
0.3393 0.7500 0.5255
0.6607 0.2500 0.4745
0.8393 0.7500 0.9745
0.0155 0.5975 0.6870
0.0155 0.9025 0.6870
0.1716 0.6279 0.1759
0.1716 0.8721 0.1759
0.3284 0.1279 0.6759
0.3284 0.3721 0.6759
0.4845 0.0975 0.1870
0.4845 0.4025 0.1870
0.5155 0.5975 0.8130
0.5155 0.9025 0.8130
0.6716 0.6279 0.3241
0.6716 0.8721 0.3241
0.8284 0.1279 0.8241
0.8284 0.3721 0.8241
0.9845 0.0975 0.3130
0.9845 0.4025 0.3130
0.0167 0.2500 0.5851
0.1674 0.0367 0.9659
0.1674 0.4633 0.9659
0.2163 0.7500 0.8623
0.2837 0.2500 0.3623
0.3326 0.5367 0.4659
0.3326 0.9633 0.4659
0.4833 0.7500 0.0851
0.5167 0.2500 0.9149
0.6674 0.0367 0.5341
0.6674 0.4633 0.5341
0.7163 0.7500 0.6377
0.7837 0.2500 0.1377
0.8326 0.5367 0.0341
0.8326 0.9633 0.0341
0.9833 0.7500 0.4149
```

Largest 10 diffraction maxima, by angle, 2θ = 10–90°:
two_theta, d/Å, intensity
18.0, 4.920, 21
24.3, 3.662, 24
28.3, 3.153, 25
32.2, 2.781, 75
33.3, 2.693, 100
33.8, 2.652, 46
36.1, 2.485, 39
37.8, 2.380, 22
39.8, 2.267, 34
58.7, 1.572, 27

=====

Record 4
Calculated XRD peak list
Compound: Li4HoGe4
Radiation: a wavelength of 1.5418 Å
Structure: a cell relaxed with PBE
Peak positions follow from Bragg's law for the DFT cell and can differ from measured ones.

Atomic structure:
```
Li4HoGe4
1.0
6.0938 0.0000 0.0000
0.0000 6.0938 0.0000
0.0000 0.0000 8.6092
Li Ho Ge
8 2 8
direct
0.0093 0.2500 0.1629
0.2500 0.0093 0.6629
0.2500 0.4907 0.6629
0.4907 0.2500 0.1629
0.5093 0.7500 0.8371
0.7500 0.5093 0.3371
0.7500 0.9907 0.3371
0.9907 0.7500 0.8371
0.2500 0.7500 0.2500
0.7500 0.2500 0.7500
0.0435 0.2500 0.4636
0.2500 0.0435 0.9636
0.2500 0.4565 0.9636
0.4565 0.2500 0.4636
0.5435 0.7500 0.5364
0.7500 0.5435 0.0364
0.7500 0.9565 0.0364
0.9565 0.7500 0.5364
```

Largest 10 diffraction maxima, by angle, 2θ = 10–90°:
two_theta, d/Å, intensity
17.8, 4.974, 59
29.3, 3.046, 78
31.1, 2.872, 64
34.5, 2.597, 100
43.3, 2.089, 21
47.2, 1.927, 63
55.4, 1.658, 31
63.9, 1.456, 32
64.9, 1.436, 18
86.8, 1.122, 17

=====

Record 5
Calculated XRD peak list
Compound: Li2PmHoGe2
Radiation: a wavelength of 1.5418 Å
Structure: a cell relaxed with PBE
Peak positions follow from Bragg's law for the DFT cell and can differ from measured ones.

Atomic structure:
```
Li2PmHoGe2
1.0
4.4373 0.0000 0.0000
-2.2186 3.8428 0.0000
0.0000 0.0000 7.2977
Li Pm Ho Ge
2 1 1 2
direct
0.3333 0.6667 0.2250
0.6667 0.3333 0.7750
0.0000 0.0000 0.5000
0.0000 0.0000 0.0000
0.3333 0.6667 0.7601
0.6667 0.3333 0.2399
```

Largest 10 diffraction maxima, by angle, 2θ = 10–90°:
two_theta, d/Å, intensity
23.1, 3.843, 45
26.2, 3.400, 19
33.9, 2.646, 100
40.7, 2.219, 44
50.0, 1.824, 8
53.9, 1.700, 27
55.8, 1.648, 9
66.3, 1.409, 20
69.7, 1.349, 25
74.0, 1.281, 7

=====

Record 6
Calculated XRD peak list
Compound: Li2SmHoGe2
Radiation: a wavelength of 1.5418 Å
Structure: a cell relaxed with PBE
Peak positions follow from Bragg's law for the DFT cell and can differ from measured ones.

Atomic structure:
```
Li2SmHoGe2
1.0
4.4292 0.0000 0.0000
-2.2146 3.8358 0.0000
0.0000 0.0000 7.2708
Li Sm Ho Ge
2 1 1 2
direct
0.3333 0.6667 0.2282
0.6667 0.3333 0.7718
0.0000 0.0000 0.5000
0.0000 0.0000 0.0000
0.3333 0.6667 0.7583
0.6667 0.3333 0.2417
```

Largest 10 diffraction maxima, by angle, 2θ = 10–90°:
two_theta, d/Å, intensity
23.2, 3.836, 46
26.3, 3.393, 19
34.0, 2.639, 100
40.7, 2.215, 44
50.2, 1.818, 8
54.1, 1.696, 27
56.0, 1.643, 9
66.6, 1.405, 20
69.8, 1.347, 25
74.2, 1.279, 7

=====

Record 7
Calculated XRD peak list
Compound: Li2HoZn2Ge2
Radiation: a wavelength of 1.5418 Å
Structure: a cell relaxed with PBE
Peak positions follow from Bragg's law for the DFT cell and can differ from measured ones.

Atomic structure:
```
Li2HoZn2Ge2
1.0
2.1091 1.2177 7.7668
-2.1091 1.2177 7.7668
0.0000 -2.4354 7.7668
Li Ho Zn Ge
2 1 2 2
direct
0.1433 0.1433 0.1433
0.8567 0.8567 0.8567
0.0000 0.0000 0.0000
0.4373 0.4373 0.4373
0.5627 0.5627 0.5627
0.2595 0.2595 0.2595
0.7405 0.7405 0.7405
```

Largest 10 diffraction maxima, by angle, 2θ = 10–90°:
two_theta, d/Å, intensity
11.4, 7.767, 48
25.6, 3.486, 19
28.8, 3.095, 100
31.1, 2.875, 27
36.5, 2.460, 80
42.9, 2.109, 83
49.8, 1.832, 22
52.5, 1.743, 19
57.6, 1.601, 21
74.4, 1.275, 19

=====

Record 8
Calculated XRD peak list
Compound: Ho4MgGe4
Radiation: a wavelength of 1.5418 Å
Structure: a cell relaxed with PBE
Peak positions follow from Bragg's law for the DFT cell and can differ from measured ones.

Atomic structure:
```
Ho4MgGe4
1.0
7.1621 0.0000 0.0000
0.0000 14.6233 0.0000
0.0000 0.0000 7.7191
Ho Mg Ge
16 4 16
direct
0.0101 0.0943 0.1826
0.0101 0.4057 0.1826
0.1687 0.1267 0.6772
0.1687 0.3733 0.6772
0.3313 0.6267 0.1772
0.3313 0.8733 0.1772
0.4899 0.5943 0.6826
0.4899 0.9057 0.6826
0.5101 0.0943 0.3174
0.5101 0.4057 0.3174
0.6687 0.1267 0.8228
0.6687 0.3733 0.8228
0.8313 0.6267 0.3228
0.8313 0.8733 0.3228
0.9899 0.5943 0.8174
0.9899 0.9057 0.8174
0.1619 0.7500 0.5195
0.3381 0.2500 0.0195
0.6619 0.7500 0.9805
0.8381 0.2500 0.4805
0.0243 0.7500 0.0885
0.1717 0.5357 0.4656
0.1717 0.9643 0.4656
0.2114 0.2500 0.3608
0.2886 0.7500 0.8608
0.3283 0.0357 0.9656
0.3283 0.4643 0.9656
0.4757 0.2500 0.5885
0.5243 0.7500 0.4115
0.6717 0.5357 0.0344
0.6717 0.9643 0.0344
0.7114 0.2500 0.1392
0.7886 0.7500 0.6392
0.8283 0.0357 0.5344
0.8283 0.4643 0.5344
0.9757 0.2500 0.9115
```

Largest 10 diffraction maxima, by angle, 2θ = 10–90°:
two_theta, d/Å, intensity
24.3, 3.656, 18
28.1, 3.171, 22
32.1, 2.787, 83
33.1, 2.703, 100
33.8, 2.654, 45
36.1, 2.489, 35
37.0, 2.428, 23
37.7, 2.389, 26
39.5, 2.281, 37
58.5, 1.579, 28

=====

Record 9
Calculated XRD peak list
Compound: Ho2Mg3Ge4
Radiation: a wavelength of 1.5418 Å
Structure: a cell relaxed with PBE
Peak positions follow from Bragg's law for the DFT cell and can differ from measured ones.

Atomic structure:
```
Ho2Mg3Ge4
1.0
6.9765 0.0000 0.0000
0.0000 14.2293 0.0000
0.0000 0.0000 7.5696
Ho Mg Ge
8 12 16
direct
0.0026 0.0959 0.1836
0.0026 0.4041 0.1836
0.4974 0.5959 0.6836
0.4974 0.9041 0.6836
0.5026 0.0959 0.3164
0.5026 0.4041 0.3164
0.9974 0.5959 0.8164
0.9974 0.9041 0.8164
0.1601 0.7500 0.4987
0.1720 0.1209 0.6704
0.1720 0.3791 0.6704
0.3280 0.6209 0.1704
0.3280 0.8791 0.1704
0.3399 0.2500 0.9987
0.6601 0.7500 0.0013
0.6720 0.1209 0.8296
0.6720 0.3791 0.8296
0.8280 0.6209 0.3296
0.8280 0.8791 0.3296
0.8399 0.2500 0.5013
0.0322 0.7500 0.1140
0.1715 0.5374 0.4642
0.1715 0.9626 0.4642
0.2118 0.2500 0.3639
0.2882 0.7500 0.8639
0.3285 0.0374 0.9642
0.3285 0.4626 0.9642
0.4678 0.2500 0.6140
0.5322 0.7500 0.3860
0.6715 0.5374 0.0358
0.6715 0.9626 0.0358
0.7118 0.2500 0.1361
0.7882 0.7500 0.6361
0.8285 0.0374 0.5358
0.8285 0.4626 0.5358
0.9678 0.2500 0.8860
```

Largest 10 diffraction maxima, by angle, 2θ = 10–90°:
two_theta, d/Å, intensity
13.2, 6.683, 50
22.1, 4.019, 43
25.6, 3.485, 26
32.9, 2.724, 82
34.0, 2.634, 100
34.6, 2.592, 24
36.1, 2.490, 25
37.9, 2.372, 53
40.6, 2.223, 33
46.3, 1.962, 21

=====

Record 10
Calculated XRD peak list
Compound: HoMgNiGe2
Radiation: a wavelength of 1.5418 Å
Structure: a cell relaxed with PBE
Peak positions follow from Bragg's law for the DFT cell and can differ from measured ones.

Atomic structure:
```
HoMgNiGe2
1.0
5.4688 0.0000 0.0000
0.0000 5.7575 0.0000
0.0000 0.0000 5.7457
Ho Mg Ni Ge
2 2 2 4
direct
0.2500 0.0000 0.2366
0.7500 0.0000 0.7634
0.2500 0.5000 0.3787
0.7500 0.5000 0.6213
0.0000 0.5000 0.0000
0.5000 0.5000 0.0000
0.2500 0.2290 0.7608
0.2500 0.7710 0.7608
0.7500 0.2290 0.2392
0.7500 0.7710 0.2392
```

Largest 10 diffraction maxima, by angle, 2θ = 10–90°:
two_theta, d/Å, intensity
15.4, 5.753, 29
27.3, 3.263, 36
31.1, 2.874, 29
32.8, 2.734, 27
34.9, 2.571, 39
36.4, 2.470, 29
38.7, 2.329, 100
45.8, 1.981, 40
53.1, 1.726, 24
62.4, 1.488, 24

=====

Record 11
Calculated XRD peak list
Compound: Ho2Mn3Ge4
Radiation: a wavelength of 1.5418 Å
Structure: a cell relaxed with PBE
Peak positions follow from Bragg's law for the DFT cell and can differ from measured ones.

Atomic structure:
```
Ho2Mn3Ge4
1.0
2.8176 -7.4076 0.0000
2.8176 7.4076 0.0000
0.0000 0.0000 7.4436
Ho Mn Ge
4 6 8
direct
0.1123 0.8877 0.9118
0.3877 0.6123 0.4118
0.6123 0.3877 0.5882
0.8877 0.1123 0.0882
0.0000 0.0000 0.5000
0.0347 0.4653 0.7500
0.4653 0.0347 0.2500
0.5000 0.5000 0.0000
0.5347 0.9653 0.7500
0.9653 0.5347 0.2500
0.1869 0.8131 0.5408
0.2011 0.2989 0.7500
0.2989 0.2011 0.2500
0.3131 0.6869 0.0408
0.6869 0.3131 0.9592
0.7011 0.7989 0.7500
0.7989 0.7011 0.2500
0.8131 0.1869 0.4592
```

Largest 10 diffraction maxima, by angle, 2θ = 10–90°:
two_theta, d/Å, intensity
34.1, 2.629, 45
36.2, 2.483, 55
36.3, 2.474, 100
38.3, 2.353, 61
38.4, 2.344, 31
40.2, 2.245, 99
52.3, 1.749, 22
59.6, 1.552, 29
62.5, 1.487, 23
79.3, 1.208, 23

=====

Record 12
Calculated XRD peak list
Compound: HoMnGe2Rh
Radiation: a wavelength of 1.5418 Å
Structure: a cell relaxed with PBE
Peak positions follow from Bragg's law for the DFT cell and can differ from measured ones.

Atomic structure:
```
HoMnGe2Rh
1.0
4.0503 0.0000 0.0000
0.0000 4.0503 0.0000
0.0000 0.0000 10.6355
Ho Mn Ge Rh
2 2 4 2
direct
0.0000 0.0000 0.0000
0.5000 0.5000 0.5000
0.0000 0.5000 0.7500
0.5000 0.0000 0.2500
0.0000 0.0000 0.3837
0.0000 0.0000 0.6163
0.5000 0.5000 0.1163
0.5000 0.5000 0.8837
0.0000 0.5000 0.2500
0.5000 0.0000 0.7500
```

Largest 10 diffraction maxima, by angle, 2θ = 10–90°:
two_theta, d/Å, intensity
31.2, 2.864, 14
33.6, 2.668, 66
35.6, 2.522, 100
44.8, 2.025, 51
48.3, 1.883, 32
57.1, 1.613, 35
65.1, 1.432, 16
68.0, 1.379, 23
76.5, 1.245, 21
87.8, 1.111, 14